Record 1
Structure and simulated X-ray diffraction stick pattern of Sc3SbS (a DFT-relaxed cell (PBE, Alexandria); Cu Kα X-rays).
No peak broadening, texture or thermal motion is included.

Atomic structure:
abc: 8.568 8.568 6.101
angles: 94.52 94.52 100.01
Element x y z (fractional)
Sc 0.043 0.753 0.957
Sc 0.164 0.573 0.376
Sc 0.247 0.957 0.543
Sc 0.293 0.437 0.884
Sc 0.427 0.836 0.124
Sc 0.437 0.293 0.384
Sc 0.563 0.707 0.616
Sc 0.573 0.164 0.876
Sc 0.707 0.563 0.116
Sc 0.753 0.043 0.457
Sc 0.836 0.427 0.624
Sc 0.957 0.247 0.043
Sb 0.086 0.246 0.523
Sb 0.246 0.086 0.023
Sb 0.754 0.914 0.977
Sb 0.914 0.754 0.477
S 0.290 0.710 0.750
S 0.436 0.564 0.250
S 0.564 0.436 0.750
S 0.710 0.290 0.250

Principal peaks in the range 10° ≤ 2θ ≤ 90°, in order of rising 2θ:
2θ (°), Rel. int.
25.4, 39
32.8, 29
34.3, 100
35.6, 47
36.0, 32
47.1, 31

---

Record 2
Structure and simulated X-ray diffraction stick pattern of ScSb2S (a DFT-relaxed cell (PBE, Alexandria); Cu Kα X-rays).
No peak broadening, texture or thermal motion is included.

Atomic structure:
abc: 4.062 4.062 23.936
angles: 90.00 90.00 90.00
Element x y z (fractional)
Sc 0.000 0.000 0.000
Sc 0.000 0.500 0.250
Sc 0.500 0.000 0.750
Sc 0.500 0.500 0.500
Sb 0.242 0.250 0.125
Sb 0.250 0.742 0.375
Sb 0.250 0.758 0.875
Sb 0.258 0.250 0.625
Sb 0.742 0.750 0.625
Sb 0.750 0.242 0.875
Sb 0.750 0.258 0.375
Sb 0.758 0.750 0.125
S 0.000 0.000 0.500
S 0.000 0.500 0.750
S 0.500 0.000 0.250
S 0.500 0.500 0.000

Principal peaks in the range 10° ≤ 2θ ≤ 90°, in order of rising 2θ:
2θ (°), Rel. int.
14.8, 63
29.9, 48
32.0, 100
38.6, 60
47.3, 52
49.6, 29

---

Record 3
Structure and simulated X-ray diffraction stick pattern of Sb3SeS4 (a DFT-relaxed cell (PBE, Alexandria); Cu Kα X-rays).
No peak broadening, texture or thermal motion is included.

Atomic structure:
abc: 7.936 7.936 10.073
angles: 113.23 113.23 50.48
Element x y z (fractional)
Sb 0.007 0.993 0.500
Sb 0.370 0.411 0.306
Sb 0.411 0.370 0.806
Sb 0.615 0.636 0.711
Sb 0.636 0.615 0.211
Sb 0.993 0.007 0.000
Se 0.632 0.985 0.380
Se 0.985 0.632 0.880
S 0.021 0.359 0.166
S 0.158 0.829 0.270
S 0.248 0.585 0.550
S 0.359 0.021 0.666
S 0.424 0.739 0.953
S 0.585 0.248 0.050
S 0.739 0.424 0.453
S 0.829 0.158 0.770

Principal peaks in the range 10° ≤ 2θ ≤ 90°, in order of rising 2θ:
2θ (°), Rel. int.
18.4, 66
24.5, 45
27.0, 41
37.3, 100
38.3, 49
46.9, 42

---

Record 4
Structure and simulated X-ray diffraction stick pattern of Tb6SbSe3S2 (a DFT-relaxed cell (PBE, Alexandria); Cu Kα X-rays).
No peak broadening, texture or thermal motion is included.

Atomic structure:
abc: 9.175 9.175 8.238
angles: 103.39 103.39 25.74
Element x y z (fractional)
Tb 0.009 0.009 0.265
Tb 0.328 0.328 0.428
Tb 0.328 0.328 0.892
Tb 0.672 0.672 0.108
Tb 0.672 0.672 0.572
Tb 0.991 0.991 0.735
Sb 0.500 0.500 0.000
Se 0.163 0.163 0.834
Se 0.500 0.500 0.500
Se 0.837 0.837 0.166
S 0.169 0.169 0.339
S 0.831 0.831 0.661

Principal peaks in the range 10° ≤ 2θ ≤ 90°, in order of rising 2θ:
2θ (°), Rel. int.
26.7, 19
30.8, 100
44.0, 36
44.3, 35
55.0, 18
73.2, 14

---

Record 5
Structure and simulated X-ray diffraction stick pattern of SiSb2S6 (a DFT-relaxed cell (PBE, Alexandria); Cu Kα X-rays).
No peak broadening, texture or thermal motion is included.

Atomic structure:
abc: 5.984 5.984 11.373
angles: 90.00 90.00 90.00
Element x y z (fractional)
Si 0.000 0.000 0.000
Si 0.500 0.500 0.500
Sb 0.000 0.000 0.334
Sb 0.000 0.000 0.666
Sb 0.500 0.500 0.166
Sb 0.500 0.500 0.834
S 0.183 0.183 0.150
S 0.183 0.183 0.850
S 0.216 0.216 0.500
S 0.284 0.716 0.000
S 0.317 0.683 0.350
S 0.317 0.683 0.650
S 0.683 0.317 0.350
S 0.683 0.317 0.650
S 0.716 0.284 0.000
S 0.784 0.784 0.500
S 0.817 0.817 0.150
S 0.817 0.817 0.850

Principal peaks in the range 10° ≤ 2θ ≤ 90°, in order of rising 2θ:
2θ (°), Rel. int.
21.0, 100
27.9, 46
31.7, 23
41.3, 76
42.7, 25
51.8, 34

---

Record 6
Structure and simulated X-ray diffraction stick pattern of Sm2SbS5 (a DFT-relaxed cell (PBE, Alexandria); Cu Kα X-rays).
No peak broadening, texture or thermal motion is included.

Atomic structure:
abc: 7.343 7.343 13.112
angles: 90.00 90.00 137.50
Element x y z (fractional)
Sm 0.154 0.846 0.568
Sm 0.154 0.846 0.932
Sm 0.846 0.154 0.068
Sm 0.846 0.154 0.432
Sb 0.168 0.832 0.250
Sb 0.832 0.168 0.750
S 0.044 0.956 0.109
S 0.044 0.956 0.391
S 0.276 0.724 0.750
S 0.297 0.703 0.088
S 0.297 0.703 0.412
S 0.703 0.297 0.588
S 0.703 0.297 0.912
S 0.724 0.276 0.250
S 0.956 0.044 0.609
S 0.956 0.044 0.891

Principal peaks in the range 10° ≤ 2θ ≤ 90°, in order of rising 2θ:
2θ (°), Rel. int.
12.9, 57
17.9, 100
24.2, 100
27.2, 49
33.3, 54
42.5, 65

---

Record 7
Structure and simulated X-ray diffraction stick pattern of Sm4Sb3S (a DFT-relaxed cell (PBE, Alexandria); Cu Kα X-rays).
No peak broadening, texture or thermal motion is included.

Atomic structure:
abc: 8.741 12.352 4.371
angles: 90.00 90.00 90.00
Element x y z (fractional)
Sm 0.000 0.244 0.000
Sm 0.000 0.756 0.000
Sm 0.239 0.000 0.500
Sm 0.261 0.500 0.500
Sm 0.500 0.256 0.000
Sm 0.500 0.744 0.000
Sm 0.739 0.500 0.500
Sm 0.761 0.000 0.500
Sb 0.000 0.500 0.000
Sb 0.250 0.250 0.500
Sb 0.250 0.750 0.500
Sb 0.500 0.000 0.000
Sb 0.750 0.250 0.500
Sb 0.750 0.750 0.500
S 0.000 0.000 0.000
S 0.500 0.500 0.000

Principal peaks in the range 10° ≤ 2θ ≤ 90°, in order of rising 2θ:
2θ (°), Rel. int.
28.9, 100
41.3, 75
51.2, 27
59.9, 12
67.8, 34
75.3, 25

---

Record 8
Structure and simulated X-ray diffraction stick pattern of Sm5Sb4S (a DFT-relaxed cell (PBE, Alexandria); Cu Kα X-rays).
No peak broadening, texture or thermal motion is included.

Atomic structure:
abc: 7.597 7.597 7.597
angles: 99.69 99.69 131.56
Element x y z (fractional)
Sm 0.000 0.000 0.000
Sm 0.211 0.401 0.613
Sm 0.401 0.787 0.189
Sm 0.598 0.211 0.811
Sm 0.787 0.598 0.387
Sb 0.095 0.698 0.794
Sb 0.301 0.095 0.397
Sb 0.698 0.904 0.603
Sb 0.904 0.301 0.206
S 0.499 0.499 0.000

Principal peaks in the range 10° ≤ 2θ ≤ 90°, in order of rising 2θ:
2θ (°), Rel. int.
28.6, 51
28.8, 100
41.1, 76
41.2, 37
50.9, 39
67.6, 32